Entry 1:
Calculated powder X-ray diffraction pattern of LiLaAg2Ge for a wavelength of 1.5418 Å, from a GGA-PBE-relaxed structure.
Kinematic intensities with the Lorentz-polarization factor, no thermal factor.

Principal peaks in the range 2θ from 5° to 70°, low angle first:
| two_theta | I/Imax |
| --- | --- |
| 16.8 | 11.5 |
| 21.6 | 13.0 |
| 32.4 | 21.6 |
| 33.0 | 100.0 |
| 34.1 | 13.0 |
| 40.3 | 37.6 |
| 47.7 | 10.9 |
| 53.8 | 13.6 |
| 58.3 | 12.3 |
| 68.7 | 22.6 |

Cell lengths 4.4753, 4.4753, 10.5286 Å; angles 90.00, 90.00, 90.00 degrees
Space group I4mm (No. 107)
Unique sites:
Li 0.0000 0.0000 0.0000 (multiplicity 2)
La 0.0000 0.0000 0.6329 (multiplicity 2)
Ag 0.0000 0.5000 0.3723 (multiplicity 4)
Ge 0.0000 0.0000 0.2308 (multiplicity 2)

=====

Entry 2:
Calculated powder X-ray diffraction pattern of Zr3Zn3IrPd2 for a wavelength of 1.5418 Å, from a GGA-PBE-relaxed structure.
Kinematic intensities with the Lorentz-polarization factor, no thermal factor.

Principal peaks in the range 2θ from 5° to 70°, low angle first:
| two_theta | I/Imax |
| --- | --- |
| 13.8 | 16.1 |
| 24.0 | 26.4 |
| 30.6 | 36.3 |
| 36.6 | 78.3 |
| 37.0 | 20.1 |
| 39.3 | 86.4 |
| 42.2 | 100.0 |
| 46.6 | 57.2 |
| 56.1 | 19.2 |
| 57.1 | 10.8 |

Cell lengths 7.4153, 7.4153, 3.2794 Å; angles 90.00, 90.00, 120.00 degrees
Space group P-62m (No. 189)
Unique sites:
Zr 0.0000 0.6219 0.0000 (multiplicity 3)
Zn 0.0000 0.2814 0.5000 (multiplicity 3)
Ir 0.0000 0.0000 0.0000 (multiplicity 1)
Pd 0.3333 0.6667 0.5000 (multiplicity 2)

=====

Entry 3:
Calculated powder X-ray diffraction pattern of NaDyTeO for a wavelength of 1.5418 Å, from a GGA-PBE-relaxed structure.
Kinematic intensities with the Lorentz-polarization factor, no thermal factor.

Principal peaks in the range 2θ from 5° to 70°, low angle first:
| two_theta | I/Imax |
| --- | --- |
| 12.2 | 86.3 |
| 23.0 | 33.8 |
| 27.3 | 32.8 |
| 28.7 | 57.4 |
| 29.0 | 100.0 |
| 31.8 | 57.0 |
| 35.4 | 25.2 |
| 37.1 | 27.1 |
| 38.5 | 54.1 |
| 48.2 | 24.0 |

Cell lengths 7.3605, 7.5528, 6.6293 Å; angles 90.00, 99.35, 90.00 degrees
Space group P2_1/c (No. 14)
Unique sites:
Na 0.1095 0.2060 0.4717 (multiplicity 4)
Dy 0.4692 0.6245 0.7833 (multiplicity 4)
Te 0.1998 0.5773 0.3522 (multiplicity 4)
O 0.4120 0.1507 0.3930 (multiplicity 4)

=====

Entry 4:
Calculated powder X-ray diffraction pattern of Mg2CuAs2Au for a wavelength of 1.5418 Å, from a GGA-PBE-relaxed structure.
Kinematic intensities with the Lorentz-polarization factor, no thermal factor.

Principal peaks in the range 2θ from 5° to 70°, low angle first:
| two_theta | I/Imax |
| --- | --- |
| 6.3 | 8.5 |
| 12.5 | 4.6 |
| 25.2 | 100.0 |
| 41.7 | 70.9 |
| 41.9 | 35.6 |
| 49.2 | 16.1 |
| 49.5 | 32.1 |
| 60.2 | 5.6 |
| 60.7 | 11.6 |
| 66.6 | 12.8 |

Cell lengths 7.5090, 4.3140, 14.3274 Å; angles 90.00, 99.70, 90.00 degrees
Space group Pm (No. 6)
Unique sites:
Mg 0.0000 0.0000 0.0000 (multiplicity 1)
Mg 0.0019 0.5000 0.4914 (multiplicity 1)
Mg 0.2418 0.0000 0.7401 (multiplicity 1)
Mg 0.2449 0.5000 0.2429 (multiplicity 1)
Mg 0.4879 0.0000 0.4865 (multiplicity 1)
Mg 0.4977 0.5000 0.9988 (multiplicity 1)
Mg 0.7457 0.0000 0.2399 (multiplicity 1)
Mg 0.7535 0.5000 0.7408 (multiplicity 1)
Cu 0.0616 0.5000 0.6773 (multiplicity 1)
Cu 0.0633 0.0000 0.1856 (multiplicity 1)
Cu 0.3070 0.5000 0.4269 (multiplicity 1)
Cu 0.5574 0.5000 0.1842 (multiplicity 1)
As 0.1182 0.5000 0.8565 (multiplicity 1)
As 0.1362 0.0000 0.3645 (multiplicity 1)
As 0.3520 0.5000 0.6072 (multiplicity 1)
As 0.3744 0.0000 0.1266 (multiplicity 1)
As 0.6031 0.5000 0.3623 (multiplicity 1)
As 0.6212 0.0000 0.8672 (multiplicity 1)
As 0.8759 0.5000 0.1293 (multiplicity 1)
As 0.8893 0.0000 0.6217 (multiplicity 1)
Au 0.3077 0.0000 0.9313 (multiplicity 1)
Au 0.5569 0.0000 0.6762 (multiplicity 1)
Au 0.8102 0.0000 0.4287 (multiplicity 1)
Au 0.8116 0.5000 0.9328 (multiplicity 1)

=====

Entry 5:
Calculated powder X-ray diffraction pattern of Mo2H10C10I7 for a wavelength of 1.5418 Å, from a GGA-PBE-relaxed structure.
Kinematic intensities with the Lorentz-polarization factor, no thermal factor.

Principal peaks in the range 2θ from 5° to 70°, low angle first:
| two_theta | I/Imax |
| --- | --- |
| 11.8 | 36.7 |
| 15.8 | 100.0 |
| 23.0 | 17.7 |
| 24.3 | 21.7 |
| 26.4 | 20.0 |
| 31.4 | 23.5 |
| 31.5 | 20.9 |
| 33.7 | 17.4 |
| 34.7 | 20.9 |
| 42.4 | 21.4 |

Cell lengths 8.7029, 15.0027, 8.3981 Å; angles 90.00, 90.00, 90.00 degrees
Space group Pbam (No. 55)
Unique sites:
Mo 0.1108 0.0644 0.0000 (multiplicity 4)
H 0.0699 0.5747 0.1617 (multiplicity 8)
H 0.0790 0.2627 0.0000 (multiplicity 4)
H 0.2145 0.1905 0.2616 (multiplicity 8)
C 0.1445 0.6137 0.0846 (multiplicity 8)
C 0.1674 0.2117 0.0000 (multiplicity 4)
C 0.2396 0.1739 0.1382 (multiplicity 8)
I 0.0000 0.5000 0.5000 (multiplicity 2)
I 0.0262 0.3040 0.5000 (multiplicity 4)
I 0.1397 0.9193 0.2065 (multiplicity 8)

=====

Entry 6:
Calculated powder X-ray diffraction pattern of YTeAuO for a wavelength of 1.5418 Å, from a GGA-PBE-relaxed structure.
Kinematic intensities with the Lorentz-polarization factor, no thermal factor.

Principal peaks in the range 2θ from 5° to 70°, low angle first:
| two_theta | I/Imax |
| --- | --- |
| 8.5 | 100.0 |
| 28.0 | 32.8 |
| 31.3 | 56.3 |
| 32.5 | 52.4 |
| 34.2 | 41.5 |
| 35.9 | 50.9 |
| 41.0 | 27.4 |
| 45.7 | 35.2 |
| 48.3 | 32.8 |
| 54.8 | 23.3 |

Cell lengths 20.6870, 5.7135, 5.7228 Å; angles 90.00, 90.00, 90.00 degrees
Space group Aea2 (No. 41)
Unique sites:
Y 0.0518 0.2499 0.0000 (multiplicity 8)
Te 0.1390 0.2485 0.5003 (multiplicity 8)
Au 0.2498 0.4974 0.0037 (multiplicity 8)
O 0.0000 0.0000 0.2501 (multiplicity 4)
O 0.0000 0.0000 0.7501 (multiplicity 4)